Diffraction record for CuHgMo2. The X-ray powder pattern is computed, not measured: it uses DFT lattice parameters and positions (PBE) and λ = 1.5418 Å (Cu Kα).
No peak broadening, texture or thermal motion is included.

Structure:
```
data_CuHgMo2
_chemical_formula_sum 'Cu2 Hg2 Mo4'
_cell_length_a 3.2711
_cell_length_b 4.4768
_cell_length_c 8.9904
_cell_angle_alpha 90.00
_cell_angle_beta 90.00
_cell_angle_gamma 90.00
_space_group_name_H-M_alt 'C m m 2'
_space_group_IT_number 35
loop_
_space_group_symop_operation_xyz
'x,y,z'
'-x,-y,z'
'-x,y,z'
'x,-y,z'
'x+1/2,y+1/2,z'
'-x+1/2,-y+1/2,z'
'-x+1/2,y+1/2,z'
'x+1/2,-y+1/2,z'
loop_
_atom_site_label
_atom_site_type_symbol
_atom_site_fract_x
_atom_site_fract_y
_atom_site_fract_z
Cu1 Cu 0.0000 0.0000 0.0000
Hg1 Hg 0.0000 0.5000 0.2535
Mo1 Mo 0.0000 0.0000 0.5341
Mo2 Mo 0.0000 0.5000 0.7710
```

Principal peaks in the range 2θ from 10° to 80°, by intensity:
- d = 2.277 Å, I = 100, (1 1 2)
- d = 2.238 Å, I = 24, (0 2 0)
- d = 2.248 Å, I = 22, (0 0 4)
- d = 1.300 Å, I = 16, (1 3 2)
- d = 1.586 Å, I = 15, (0 2 4)
- d = 1.303 Å, I = 13, (1 1 6)
- d = 4.495 Å, I = 12, (0 0 2)
- d = 2.534 Å, I = 11, (1 1 1)
- d = 1.636 Å, I = 9, (2 0 0)
- d = 1.321 Å, I = 9, (2 2 0)

---

Diffraction record for HfNpO6. The X-ray powder pattern is computed, not measured: it uses DFT lattice parameters and positions (PBE) and λ = 1.5418 Å (Cu Kα).
No peak broadening, texture or thermal motion is included.

Structure:
```
data_HfNpO6
_chemical_formula_sum 'Hf3 Np3 O18'
_cell_length_a 5.7610
_cell_length_b 5.7610
_cell_length_c 14.1241
_cell_angle_alpha 90.00
_cell_angle_beta 90.00
_cell_angle_gamma 120.00
_space_group_name_H-M_alt 'R -3'
_space_group_IT_number 148
_space_group_name_Hall '-R 3'
loop_
_atom_site_label
_atom_site_type_symbol
_atom_site_fract_x
_atom_site_fract_y
_atom_site_fract_z
Hf1 Hf 0.0000 0.0000 0.0000
Np1 Np 0.0000 0.0000 0.5000
O1 O 0.0047 0.5045 0.2487
```

Principal peaks in the range 2θ from 10° to 80°, by intensity:
- d = 4.075 Å, I = 100, (0 1 2)
- d = 2.881 Å, I = 59, (1 1 0)
- d = 1.822 Å, I = 44, (1 2 2)
- d = 1.664 Å, I = 25, (3 0 0)
- d = 1.358 Å, I = 21, (3 1 2)
- d = 2.037 Å, I = 20, (0 2 4)
- d = 2.353 Å, I = 16, (2 0 2)
- d = 1.441 Å, I = 13, (2 2 0)
- d = 1.289 Å, I = 11, (1 3 4)
- d = 1.229 Å, I = 7, (2 2 6)

---

Diffraction record for Tb6GePb2C. The X-ray powder pattern is computed, not measured: it uses DFT lattice parameters and positions (PBE) and λ = 1.5418 Å (Cu Kα).
No peak broadening, texture or thermal motion is included.

Structure:
```
data_Tb6GePb2C
_chemical_formula_sum 'Tb6 Ge1 Pb2 C1'
_cell_length_a 5.2143
_cell_length_b 5.2143
_cell_length_c 10.2895
_cell_angle_alpha 90.00
_cell_angle_beta 90.00
_cell_angle_gamma 90.00
_space_group_name_H-M_alt 'P 4/m m m'
_space_group_IT_number 123
_space_group_name_Hall '-P 4 2'
loop_
_atom_site_label
_atom_site_type_symbol
_atom_site_fract_x
_atom_site_fract_y
_atom_site_fract_z
Tb1 Tb 0.0000 0.0000 0.2304
Tb2 Tb 0.0000 0.5000 0.0000
Tb3 Tb 0.0000 0.5000 0.5000
Ge1 Ge 0.0000 0.0000 0.5000
Pb1 Pb 0.5000 0.5000 0.2457
C1 C 0.0000 0.0000 0.0000
```

Principal peaks in the range 2θ from 10° to 80°, by intensity:
- d = 2.997 Å, I = 100, (1 1 2)
- d = 2.607 Å, I = 45, (2 0 0)
- d = 1.831 Å, I = 30, (2 0 4)
- d = 1.570 Å, I = 30, (3 1 2)
- d = 2.572 Å, I = 21, (0 0 4)
- d = 1.844 Å, I = 16, (2 2 0)
- d = 1.498 Å, I = 16, (2 2 4)
- d = 1.555 Å, I = 13, (1 1 6)
- d = 1.304 Å, I = 5, (4 0 0)
- d = 3.662 Å, I = 4, (1 0 2)

---

Diffraction record for CsNaTlIn. The X-ray powder pattern is computed, not measured: it uses DFT lattice parameters and positions (PBE) and λ = 1.5418 Å (Cu Kα).
No peak broadening, texture or thermal motion is included.

Structure:
```
data_CsNaTlIn
_chemical_formula_sum 'Cs2 Na2 Tl2 In2'
_cell_length_a 9.1117
_cell_length_b 5.2369
_cell_length_c 7.8557
_cell_angle_alpha 90.00
_cell_angle_beta 112.78
_cell_angle_gamma 90.00
_space_group_name_H-M_alt 'C 1 m 1'
_space_group_IT_number 8
loop_
_space_group_symop_operation_xyz
'x,y,z'
'x,-y,z'
'x+1/2,y+1/2,z'
'x+1/2,-y+1/2,z'
loop_
_atom_site_label
_atom_site_type_symbol
_atom_site_fract_x
_atom_site_fract_y
_atom_site_fract_z
Cs1 Cs 0.0000 0.0000 0.0000
Na1 Na 0.1917 0.0000 0.5749
Tl1 Tl 0.3054 0.5000 0.4156
In1 In 0.4617 0.0000 0.3849
```

Principal peaks in the range 2θ from 10° to 80°, by intensity:
- d = 7.243 Å, I = 100, (0 0 1)
- d = 3.141 Å, I = 96, (2 0 1)
- d = 2.627 Å, I = 77, (3 1 -1)
- d = 3.486 Å, I = 68, (2 0 -2)
- d = 3.621 Å, I = 56, (0 0 2)
- d = 4.193 Å, I = 54, (2 0 0)
- d = 4.449 Å, I = 53, (1 1 0)
- d = 2.127 Å, I = 53, (3 1 1)
- d = 2.618 Å, I = 38, (0 2 0)
- d = 2.470 Å, I = 30, (3 1 -2)